# 1
This entry pairs a crystal structure of TbEr2MgAu4 with its computed powder diffraction line list. Radiation: a wavelength of 1.5418 Å. Structure: a GGA-PBE-relaxed structure.
Peak positions follow from Bragg's law for the DFT cell and can differ from measured ones.

Principal peaks in the range 15° ≤ 2θ ≤ 90°, by angle:
d (Å)	I (rel.)
2.500	99
2.490	100
1.764	35
1.445	17
1.439	55
1.114	17

a = 8.6704 Å, b = 8.6704 Å, c = 8.6704 Å
α = 33.38°, β = 33.38°, γ = 33.38°
Atoms (fractional coordinates):
Tb (0.0000, 0.0000, 0.0000)
Er (0.2451, 0.2451, 0.2451)
Er (0.7549, 0.7549, 0.7549)
Mg (0.5000, 0.5000, 0.5000)
Au (0.1233, 0.1233, 0.1233)
Au (0.3750, 0.3750, 0.3750)
Au (0.6250, 0.6250, 0.6250)
Au (0.8767, 0.8767, 0.8767)

---

# 2
This entry pairs a crystal structure of Ac8PdRh5 with its computed powder diffraction line list. Radiation: a wavelength of 1.5418 Å. Structure: a GGA-PBE-relaxed structure.
Peak positions follow from Bragg's law for the DFT cell and can differ from measured ones.

Principal peaks in the range 15° ≤ 2θ ≤ 90°, by angle:
d (Å)	I (rel.)
3.305	33
2.970	100
2.945	48
2.507	51
2.495	22
1.842	25

a = 8.1103 Å, b = 8.1103 Å, c = 8.1103 Å
α = 109.21°, β = 109.21°, γ = 110.00°
Atoms (fractional coordinates):
Ac (0.0095, 0.8792, 0.2474)
Ac (0.1208, 0.3682, 0.1303)
Ac (0.1251, 0.3734, 0.6401)
Ac (0.2379, 0.9905, 0.8697)
Ac (0.5149, 0.8749, 0.2483)
Ac (0.6266, 0.2667, 0.7517)
Ac (0.6318, 0.7621, 0.7526)
Ac (0.7333, 0.4851, 0.3599)
Pd (0.2500, 0.7500, 0.5000)
Rh (0.0061, 0.6275, 0.8823)
Rh (0.3725, 0.2548, 0.3785)
Rh (0.5000, 0.5000, 0.0000)
Rh (0.7452, 0.1237, 0.1177)
Rh (0.8763, 0.9939, 0.6215)

---

# 3
This entry pairs a crystal structure of KCa3 with its computed powder diffraction line list. Radiation: a wavelength of 1.5418 Å. Structure: a GGA-PBE-relaxed structure.
Peak positions follow from Bragg's law for the DFT cell and can differ from measured ones.

Principal peaks in the range 15° ≤ 2θ ≤ 90°, by angle:
d (Å)	I (rel.)
3.372	100
3.260	96
2.871	97
2.030	43
1.754	22
1.707	23

a = 3.9591 Å, b = 5.7478 Å, c = 8.3261 Å
α = 90.00°, β = 90.00°, γ = 90.00°
Atoms (fractional coordinates):
K (0.0000, 0.0000, 0.0000)
Ca (0.0000, 0.0000, 0.5000)
Ca (0.5000, 0.5000, 0.2742)
Ca (0.5000, 0.5000, 0.7258)

---

# 4
This entry pairs a crystal structure of Li3Pu4Bi8 with its computed powder diffraction line list. Radiation: a wavelength of 1.5418 Å. Structure: a GGA-PBE-relaxed structure.
Peak positions follow from Bragg's law for the DFT cell and can differ from measured ones.

Principal peaks in the range 15° ≤ 2θ ≤ 90°, by angle:
d (Å)	I (rel.)
3.295	26
3.067	50
2.702	100
2.282	48
1.876	22
1.385	27

a = 4.5633 Å, b = 4.5633 Å, c = 19.7703 Å
α = 90.00°, β = 90.00°, γ = 90.00°
Atoms (fractional coordinates):
Li (0.0000, 0.0000, 0.0000)
Li (0.0000, 0.0000, 0.5000)
Li (0.5000, 0.5000, 0.0000)
Pu (0.0000, 0.5000, 0.1314)
Pu (0.0000, 0.5000, 0.6129)
Pu (0.5000, 0.0000, 0.3871)
Pu (0.5000, 0.0000, 0.8686)
Bi (0.0000, 0.0000, 0.2592)
Bi (0.0000, 0.0000, 0.7408)
Bi (0.0000, 0.5000, 0.4243)
Bi (0.0000, 0.5000, 0.9118)
Bi (0.5000, 0.0000, 0.0882)
Bi (0.5000, 0.0000, 0.5757)
Bi (0.5000, 0.5000, 0.2591)
Bi (0.5000, 0.5000, 0.7409)

---

# 5
This entry pairs a crystal structure of Te4Pt2Br with its computed powder diffraction line list. Radiation: a wavelength of 1.5418 Å. Structure: a GGA-PBE-relaxed structure.
Peak positions follow from Bragg's law for the DFT cell and can differ from measured ones.

Principal peaks in the range 15° ≤ 2θ ≤ 90°, by angle:
d (Å)	I (rel.)
3.414	64
2.757	100
2.703	78
2.589	59
2.144	90
1.930	68

a = 7.7242 Å, b = 7.7242 Å, c = 8.6085 Å
α = 115.24°, β = 115.24°, γ = 91.12°
Atoms (fractional coordinates):
Te (0.1877, 0.2090, 0.4101)
Te (0.2039, 0.7197, 0.9170)
Te (0.2090, 0.1877, 0.9101)
Te (0.2803, 0.7961, 0.5830)
Te (0.7197, 0.2039, 0.4170)
Te (0.7910, 0.8123, 0.0899)
Te (0.7961, 0.2803, 0.0830)
Te (0.8123, 0.7910, 0.5899)
Pt (0.0000, 0.0000, 0.0000)
Pt (0.0000, 0.0000, 0.5000)
Pt (0.0000, 0.5000, 0.5000)
Pt (0.5000, 0.0000, 0.0000)
Br (0.4417, 0.5583, 0.2500)
Br (0.5583, 0.4417, 0.7500)

---

# 6
This entry pairs a crystal structure of Ce2PrCu6 with its computed powder diffraction line list. Radiation: a wavelength of 1.5418 Å. Structure: a GGA-PBE-relaxed structure.
Peak positions follow from Bragg's law for the DFT cell and can differ from measured ones.

Principal peaks in the range 15° ≤ 2θ ≤ 90°, by angle:
d (Å)	I (rel.)
3.750	15
2.596	100
2.165	52
1.663	25
1.384	23
1.319	23

a = 7.4995 Å, b = 7.4995 Å, c = 3.5983 Å
α = 90.00°, β = 90.00°, γ = 120.00°
Atoms (fractional coordinates):
Ce (0.3333, 0.6667, 0.0000)
Ce (0.6667, 0.3333, 0.0000)
Pr (0.0000, 0.0000, 0.0000)
Cu (0.0000, 0.3352, 0.5000)
Cu (0.0000, 0.6648, 0.5000)
Cu (0.3352, 0.0000, 0.5000)
Cu (0.3352, 0.3352, 0.5000)
Cu (0.6648, 0.0000, 0.5000)
Cu (0.6648, 0.6648, 0.5000)

---

# 7
This entry pairs a crystal structure of Ac2MgPdO6 with its computed powder diffraction line list. Radiation: a wavelength of 1.5418 Å. Structure: a GGA-PBE-relaxed structure.
Peak positions follow from Bragg's law for the DFT cell and can differ from measured ones.

Principal peaks in the range 15° ≤ 2θ ≤ 90°, by angle:
d (Å)	I (rel.)
4.049	36
2.876	20
2.860	100
2.027	21
1.658	18
1.650	27

a = 5.7515 Å, b = 5.7139 Å, c = 9.9079 Å
α = 90.00°, β = 125.37°, γ = 90.00°
Atoms (fractional coordinates):
Ac (0.2447, 0.0262, 0.2498)
Ac (0.2447, 0.4738, 0.7498)
Ac (0.7553, 0.5262, 0.2502)
Ac (0.7553, 0.9738, 0.7502)
Mg (0.5000, 0.0000, 0.0000)
Mg (0.5000, 0.5000, 0.5000)
Pd (0.0000, 0.0000, 0.5000)
Pd (0.0000, 0.5000, 0.0000)
O (0.1836, 0.2247, 0.9638)
O (0.1836, 0.2753, 0.4638)
O (0.2373, 0.7210, 0.9633)
O (0.2373, 0.7790, 0.4633)
O (0.3146, 0.0104, 0.7478)
O (0.3146, 0.4896, 0.2478)
O (0.6854, 0.5104, 0.7522)
O (0.6854, 0.9896, 0.2522)
O (0.7627, 0.2210, 0.5367)
O (0.7627, 0.2790, 0.0367)
O (0.8164, 0.7247, 0.5362)
O (0.8164, 0.7753, 0.0362)

---

# 8
This entry pairs a crystal structure of Cu2SbI5 with its computed powder diffraction line list. Radiation: a wavelength of 1.5418 Å. Structure: a GGA-PBE-relaxed structure.
Peak positions follow from Bragg's law for the DFT cell and can differ from measured ones.

Principal peaks in the range 15° ≤ 2θ ≤ 90°, by angle:
d (Å)	I (rel.)
5.846	50
3.522	100
3.394	92
3.276	34
2.979	36
2.558	38

a = 7.1441 Å, b = 7.4401 Å, c = 7.8485 Å
α = 94.75°, β = 116.28°, γ = 112.45°
Atoms (fractional coordinates):
Cu (0.0000, 0.0000, 0.0000)
Cu (0.0410, 0.3708, 0.9744)
Sb (0.3041, 0.4102, 0.4955)
I (0.0803, 0.1578, 0.7261)
I (0.3637, 0.0844, 0.3651)
I (0.4591, 0.6503, 0.2555)
I (0.7819, 0.1573, 0.1098)
I (0.8119, 0.6064, 0.8343)

---

# 9
This entry pairs a crystal structure of BaIn6Ge2 with its computed powder diffraction line list. Radiation: a wavelength of 1.5418 Å. Structure: a GGA-PBE-relaxed structure.
Peak positions follow from Bragg's law for the DFT cell and can differ from measured ones.

Principal peaks in the range 15° ≤ 2θ ≤ 90°, by angle:
d (Å)	I (rel.)
2.867	100
2.487	18
2.360	41
1.804	12
1.669	14
1.442	28

a = 4.7204 Å, b = 4.7204 Å, c = 11.1913 Å
α = 90.00°, β = 90.00°, γ = 90.00°
Atoms (fractional coordinates):
Ba (0.0000, 0.0000, 0.0000)
In (0.0000, 0.0000, 0.5000)
In (0.0000, 0.5000, 0.2792)
In (0.0000, 0.5000, 0.7208)
In (0.5000, 0.0000, 0.2792)
In (0.5000, 0.0000, 0.7208)
In (0.5000, 0.5000, 0.5000)
Ge (0.5000, 0.5000, 0.1128)
Ge (0.5000, 0.5000, 0.8872)

---

# 10
This entry pairs a crystal structure of PmMgS2O8 with its computed powder diffraction line list. Radiation: a wavelength of 1.5418 Å. Structure: a GGA-PBE-relaxed structure.
Peak positions follow from Bragg's law for the DFT cell and can differ from measured ones.

Principal peaks in the range 15° ≤ 2θ ≤ 90°, by angle:
d (Å)	I (rel.)
4.517	73
3.761	100
2.714	75
2.608	60
2.434	50
1.880	43

a = 5.2155 Å, b = 5.2155 Å, c = 6.7902 Å
α = 90.00°, β = 90.00°, γ = 120.00°
Atoms (fractional coordinates):
Pm (0.0000, 0.0000, 0.0000)
Mg (0.0000, 0.0000, 0.5000)
S (0.3333, 0.6667, 0.2314)
S (0.6667, 0.3333, 0.7686)
O (0.1750, 0.3500, 0.2998)
O (0.1750, 0.8250, 0.2998)
O (0.3333, 0.6667, 0.0127)
O (0.3500, 0.1750, 0.7002)
O (0.6500, 0.8250, 0.2998)
O (0.6667, 0.3333, 0.9873)
O (0.8250, 0.1750, 0.7002)
O (0.8250, 0.6500, 0.7002)

---

- Number 5 is which compound?
  Te4Pt2Br